The following is a simulated X-ray diffraction stick pattern of KNaNdTaO5. It was derived from a structure optimized by DFT (GGA-PBE), using Cu Kα (weighted mean of Kα1 and Kα2).
Intensities are scaled so that the largest is 100.

Atomic structure:
```
data_KNaNdTaO5
_chemical_formula_sum 'K2 Na2 Nd2 Ta2 O10'
_cell_length_a 5.7877
_cell_length_b 5.7877
_cell_length_c 8.3743
_cell_angle_alpha 90.00
_cell_angle_beta 90.00
_cell_angle_gamma 90.00
_symmetry_space_group_name_H-M 'P 1'
_symmetry_Int_Tables_number 1
loop_
_symmetry_equiv_pos_as_xyz
'x,y,z'
loop_
_atom_site_label
_atom_site_fract_x
_atom_site_fract_y
_atom_site_fract_z
K1 0.2500 0.7500 0.0000
K2 0.7500 0.2500 0.0000
Na1 0.2500 0.2500 0.2404
Na2 0.7500 0.7500 0.7596
Nd1 0.2500 0.7500 0.5000
Nd2 0.7500 0.2500 0.5000
Ta1 0.2500 0.2500 0.7410
Ta2 0.7500 0.7500 0.2590
O1 0.0201 0.0201 0.6703
O2 0.0201 0.4799 0.6703
O3 0.2500 0.2500 0.9636
O4 0.4799 0.0201 0.6703
O5 0.4799 0.4799 0.6703
O6 0.5201 0.5201 0.3297
O7 0.5201 0.9799 0.3297
O8 0.7500 0.7500 0.0364
O9 0.9799 0.5201 0.3297
O10 0.9799 0.9799 0.3297
```

Largest 6 diffraction maxima, low angle first, 10 to 90 degrees two-theta:
(0 0 1), 2θ = 10.56°, d 8.374, I 34; (1 0 1), 2θ = 18.64°, d 4.761, I 65; (1 1 2), 2θ = 30.54°, d 2.927, I 100; (2 0 0), 2θ = 30.90°, d 2.894, I 40; (2 2 0), 2θ = 44.26°, d 2.046, I 28; (3 1 2), 2θ = 54.74°, d 1.677, I 39